1.
For Sr3AgP4, a crystal structure in OQMD, relaxed with PBE gives the computed powder diffraction line list in this record (Cu Kα, 1.54184 Å).
Intensities are scaled so that the largest is 1000.

Cell lengths 6.007, 6.007, 6.007 Å; angles 90.00, 90.00, 90.00 degrees
Space group Pm-3m (No. 221)
Unique sites:
Sr (0.000, 0.000, 0.500)
Ag (0.500, 0.500, 0.500)
P (0.000, 0.000, 0.000)
P (0.000, 0.500, 0.500)

Main lines, in order of rising 2θ (2θ = 10–90°):
hkl, two_theta, I (rel.)
1 1 1, 25.7, 476
2 0 0, 29.7, 1000
2 2 0, 42.6, 723
2 2 2, 52.8, 250
4 2 0, 70.1, 319
4 2 2, 77.9, 239

***

2.
For TlZn2Tc, a crystal structure in OQMD, relaxed with PBE gives the computed powder diffraction line list in this record (Cu Kα, 1.54184 Å).
Intensities are scaled so that the largest is 1000.

Cell lengths 6.457, 6.457, 6.457 Å; angles 90.00, 90.00, 90.00 degrees
Space group F-43m (No. 216)
Unique sites:
Tl (0.000, 0.000, 0.000)
Zn (0.000, 0.000, 0.500)
Zn (0.250, 0.250, 0.750)
Tc (0.250, 0.250, 0.250)

Main lines, in order of rising 2θ (2θ = 10–90°):
hkl, two_theta, I (rel.)
1 1 1, 23.9, 211
2 2 0, 39.5, 1000
3 1 1, 46.7, 112
4 0 0, 57.1, 168
4 2 2, 71.6, 336
4 4 0, 85.0, 107

***

3.
For LiPr2Pd5, a crystal structure in OQMD, relaxed with PBE gives the computed powder diffraction line list in this record (Cu Kα, 1.54184 Å).
Intensities are scaled so that the largest is 1000.

Cell lengths 6.080, 6.080, 8.236 Å; angles 90.00, 90.00, 90.00 degrees
Space group I4mm (No. 107)
Unique sites:
Li (0.000, 0.000, 0.000)
Pr (0.000, 0.500, 0.424)
Pd (0.000, 0.000, 0.418)
Pd (0.240, 0.240, 0.678)

Main lines, in order of rising 2θ (2θ = 10–90°):
hkl, two_theta, I (rel.)
2 0 2, 36.7, 1000
2 2 0, 42.0, 342
0 0 4, 44.0, 149
2 2 4, 62.5, 203
4 2 2, 73.3, 249
2 0 6, 76.1, 112